For AcCr2SiO6, a structure optimized by DFT (GGA+U) gives the calculated XRD peak list in this record (λ = 1.5418 Å (Cu Kα)).
Intensities are scaled so that the largest is 100.

The 10 most intense peaks (2θ = 10–80°), in order of rising 2θ:
17.88°, rel. 91
20.17°, rel. 71
20.29°, rel. 83
20.71°, rel. 77
23.33°, rel. 87
30.44°, rel. 100
30.55°, rel. 98
32.11°, rel. 80
33.89°, rel. 78
36.72°, rel. 67

Atomic structure:
```
data_AcCr2SiO6
_chemical_formula_sum 'Ac1 Cr2 Si1 O6'
_cell_length_a 5.2281
_cell_length_b 5.2716
_cell_length_c 5.6421
_cell_angle_alpha 114.49
_cell_angle_beta 90.12
_cell_angle_gamma 119.34
_space_group_name_H-M_alt 'P 1'
_space_group_IT_number 1
loop_
_space_group_symop_operation_xyz
'x,y,z'
loop_
_atom_site_label
_atom_site_fract_x
_atom_site_fract_y
_atom_site_fract_z
Ac1 0.0000 0.0000 0.0000
Cr1 0.2710 0.5101 0.7838
Cr2 0.7679 0.5423 0.3473
Si1 0.4482 0.9032 0.3827
O1 0.0740 0.6651 0.1333
O2 0.1919 0.7151 0.5682
O3 0.4545 0.5265 0.1294
O4 0.4970 0.3150 0.5584
O5 0.6029 0.0632 0.1504
O6 0.7859 0.9901 0.5660
```